Structure and computed powder diffractogram of AcNd2 (a structure optimized by DFT (PBE); λ = 1.5418 Å (Cu Kα)).
No peak broadening, texture or thermal motion is included.

Largest 10 diffraction maxima, sorted by position, 5 to 70 degrees two-theta:
2θ/deg	I_rel
24.02	4.0
28.87	100.0
33.25	34.8
33.88	16.3
47.73	12.8
48.20	24.5
56.75	30.6
57.58	14.2
59.82	12.9
69.80	4.1

Cell and atoms:
```
AcNd2
1.0
-1.9054 1.9054 7.9370
1.9054 -1.9054 7.9370
1.9054 1.9054 -7.9370
Ac Nd
1 2
Cartesian
0.0000 0.0000 0.0000
0.0000 0.0000 5.2194
0.0000 0.0000 10.6545
```